Record 1
Diffraction record for Y2HoAg3. The powder XRD pattern is theoretical, not measured: it uses the PBE geometry in Alexandria and copper Kα.

Peak list (8 most intense, 10 to 90 degrees two-theta, low angle first)
2θ/deg  I_rel
34.82  1000
35.05  491
49.72  88
50.41  170
62.28  175
62.72  344
73.51  106
83.45  76

Structural model:
```
Y2HoAg3
1.0
3.621 0.000 0.000
0.000 3.621 0.000
0.000 0.000 11.003
Y Ho Ag
2 1 3
Direct
0.000 0.000 0.167
0.000 0.000 0.833
0.000 0.000 0.500
0.500 0.500 0.000
0.500 0.500 0.336
0.500 0.500 0.664
```

=====

Record 2
Diffraction record for YHo4Ag. The powder XRD pattern is theoretical, not measured: it uses the PBE geometry in Alexandria and copper Kα.

Peak list (8 most intense, 10 to 90 degrees two-theta, low angle first)
2θ/deg  I_rel
31.84  1000
35.97  417
36.24  88
38.81  92
51.78  147
53.94  140
59.19  83
62.08  292

Structural model:
```
YHo4Ag
1.0
3.531 0.000 0.000
0.000 3.531 0.000
0.000 0.000 13.923
Y Ho Ag
1 4 1
Direct
0.000 0.000 0.000
0.000 0.000 0.363
0.000 0.000 0.637
0.500 0.500 0.181
0.500 0.500 0.819
0.500 0.500 0.500
```

=====

Q: Number 2 is which compound?
A: YHo4Ag